Starting from a crystal structure in the Materials Project, relaxed with PBE, the powder diffraction line list of SrLiAl3N4 was simulated for Cu Ka.
Peak positions follow from Bragg's law for the DFT cell and can differ from measured ones.

Crystal structure
Unit cell a=5.8849 b=7.5308 c=9.9985 alpha=83.58 beta=76.82 gamma=79.55
Space group P-1 (No. 2)
Asymmetric unit:
1 Sr 0.0025 0.1347 0.1263
2 Sr 0.0238 0.3835 0.3717
3 Li 0.2094 0.1799 0.6441
4 Li 0.4673 0.3255 0.1125
5 Al 0.1681 0.7085 0.1479
6 Al 0.1756 0.9410 0.3977
7 Al 0.1789 0.4428 0.9000
8 Al 0.4358 0.7963 0.6330
9 Al 0.4480 0.0457 0.8766
10 Al 0.4691 0.5618 0.3754
11 N 0.1508 0.9309 0.5923
12 N 0.1620 0.4774 0.0884
13 N 0.1692 0.2047 0.8560
14 N 0.1980 0.7094 0.3327
15 N 0.3409 0.5903 0.7611
16 N 0.3488 0.8681 0.0289
17 N 0.3737 0.3551 0.5039
18 N 0.3863 0.0837 0.2798

Peak list (10 most intense, 15 to 90 degrees two-theta, sorted by position)
15.64°, I 59.3, (0 1 -1)
29.32°, I 23.5, (0 1 3)
35.40°, I 62.8, (2 -1 1)
35.47°, I 17.3, (2 1 -1)
37.04°, I 100.0, (0 0 4)
37.16°, I 32.4, (2 1 3)
50.86°, I 15.0, (1 3 -3)
51.05°, I 15.1, (3 -1 1)
64.58°, I 20.3, (2 -4 0)
64.72°, I 16.1, (3 -1 5)